Record 1
Diffraction record for MgCoPb2. The powder diffractogram is theoretical, not measured: it uses a DFT-relaxed cell (GGA-PBE, Alexandria) and Cu Ka.

Largest 8 diffraction maxima, by angle, 10° ≤ 2θ ≤ 90°:
2θ 13.57, 6.523 Å, I 31
2θ 21.33, 4.165 Å, I 33
2θ 27.35, 3.261 Å, I 32
2θ 28.87, 3.093 Å, I 100
2θ 37.49, 2.399 Å, I 100
2θ 41.07, 2.198 Å, I 24
2θ 44.79, 2.023 Å, I 28
2θ 68.01, 1.378 Å, I 20

Cell and atoms:
Lattice parameters (Å, degrees): 3.186 4.396 13.046 90.00 90.00 90.00
Space group Imm2 (No. 44)
Inequivalent atoms, fractional coordinates:
Mg: 0.000 0.000 0.000 [2 per cell]
Co: 0.000 0.500 0.323 [2 per cell]
Pb: 0.000 0.000 0.637 [2 per cell]
Pb: 0.000 0.500 0.832 [2 per cell]

=====

Record 2
Diffraction record for Pr4Mg3Co2. The powder diffractogram is theoretical, not measured: it uses a DFT-relaxed cell (GGA-PBE, Alexandria) and Cu Ka.

Largest 8 diffraction maxima, by angle, 10° ≤ 2θ ≤ 90°:
2θ 13.51, 6.554 Å, I 54
2θ 22.45, 3.960 Å, I 42
2θ 23.02, 3.864 Å, I 44
2θ 23.36, 3.808 Å, I 47
2θ 30.49, 2.932 Å, I 41
2θ 32.38, 2.765 Å, I 90
2θ 33.03, 2.712 Å, I 100
2θ 38.55, 2.335 Å, I 55

Cell and atoms:
Lattice parameters (Å, degrees): 7.674 3.864 8.416 90.00 109.79 90.00
Space group P2/m (No. 10)
Inequivalent atoms, fractional coordinates:
Pr: 0.096 0.000 0.225 [2 per cell]
Pr: 0.396 0.000 0.681 [2 per cell]
Mg: 0.000 0.500 0.500 [1 per cell]
Mg: 0.294 0.500 0.003 [2 per cell]
Co: 0.352 0.500 0.396 [2 per cell]

=====

Record 3
Diffraction record for MgCo2Pt. The powder diffractogram is theoretical, not measured: it uses a DFT-relaxed cell (GGA-PBE, Alexandria) and Cu Ka.

Largest 8 diffraction maxima, by angle, 10° ≤ 2θ ≤ 90°:
2θ 12.81, 6.908 Å, I 71
2θ 25.79, 3.454 Å, I 20
2θ 31.75, 2.818 Å, I 26
2θ 34.37, 2.609 Å, I 31
2θ 41.35, 2.184 Å, I 100
2θ 45.52, 1.993 Å, I 41
2θ 53.04, 1.727 Å, I 21
2θ 81.26, 1.184 Å, I 27

Cell and atoms:
Lattice parameters (Å, degrees): 2.818 2.818 6.908 90.00 90.00 90.00
Space group P4mm (No. 99)
Inequivalent atoms, fractional coordinates:
Mg: 0.000 0.000 0.000 [1 per cell]
Co: 0.000 0.000 0.536 [1 per cell]
Co: 0.500 0.500 0.725 [1 per cell]
Pt: 0.500 0.500 0.276 [1 per cell]